Record 1
This entry pairs a crystal structure of Tb3Ga5 with its calculated powder diffractogram. Radiation: CuKα. Structure: a crystal structure in Alexandria, relaxed with GGA-PBE.

Structure:
a b c (Å): 11.500 9.731 6.145
angles (deg): 90.00 90.00 90.00
Space group Pnma (No. 62)
Unique sites:
Tb (0.075, 0.250, 0.153) [4 per cell]
Tb (0.148, 0.510, 0.611) [8 per cell]
Ga (0.005, 0.250, 0.631) [4 per cell]
Ga (0.090, 0.553, 0.127) [8 per cell]
Ga (0.198, 0.750, 0.902) [4 per cell]
Ga (0.248, 0.750, 0.325) [4 per cell]

Principal peaks in the range 2θ from 10° to 90°, in order of falling intensity:
index	Position (°2θ)	I (rel.)
1 2 2	35.4	1000
0 4 0	36.9	867
3 2 1	33.1	819
3 0 2	37.5	818
4 2 0	36.3	716
1 3 2	41.2	671

---

Record 2
This entry pairs a crystal structure of KRbSbCl6 with its calculated powder diffractogram. Radiation: CuKα. Structure: a crystal structure in Alexandria, relaxed with GGA-PBE.

Structure:
a b c (Å): 7.6113 7.6113 6.8164
angles (deg): 90.00 90.00 120.00
Space group P312 (No. 149)
Unique sites:
K (0.0000, 0.0000, 0.0000) [1 per cell]
Rb (0.6667, 0.3333, 0.5000) [1 per cell]
Sb (0.3333, 0.6667, 0.0000) [1 per cell]
Cl (0.0618, 0.3916, 0.2167) [6 per cell]

Principal peaks in the range 2θ from 10° to 90°, in order of falling intensity:
index	Position (°2θ)	I (rel.)
1 0 1	18.7	1000
2 -1 2	35.4	619
1 0 0	13.4	401
3 -1 1	38.5	366
2 -1 1	26.8	348
3 0 0	41.1	252

---

Record 3
This entry pairs a crystal structure of ThH8Rh2 with its calculated powder diffractogram. Radiation: CuKα. Structure: a crystal structure in Alexandria, relaxed with GGA-PBE.

Structure:
a b c (Å): 4.490 4.490 9.796
angles (deg): 90.00 90.00 90.00
Space group I4/mmm (No. 139)
Unique sites:
Th (0.000, 0.000, 0.000) [2 per cell]
H (0.221, 0.221, 0.342) [16 per cell]
Rh (0.000, 0.500, 0.250) [4 per cell]

Principal peaks in the range 2θ from 10° to 90°, in order of falling intensity:
index	Position (°2θ)	I (rel.)
1 1 2	33.6	1000
1 0 1	21.8	761
2 0 0	40.2	295
1 0 3	33.9	262
3 1 2	68.9	252
2 0 4	55.5	245